# SnSb3P4O16
Computed X-ray diffraction stick pattern, Cu Kα, 1.54184 Å. Input: a GGA-PBE-relaxed structure.
Neutral-atom scattering factors, no anomalous dispersion.

Peak list (10 most intense, 2θ from 10° to 80°, in order of falling intensity)
- (0 2 0), 26.2 deg, intensity 100
- (1 1 -2), 27.5 deg, intensity 76
- (1 0 2), 26.6 deg, intensity 68
- (0 0 2), 18.0 deg, intensity 52
- (1 0 -2), 24.1 deg, intensity 48
- (1 1 0), 22.1 deg, intensity 46
- (1 3 0), 43.9 deg, intensity 31
- (1 2 2), 37.7 deg, intensity 29
- (1 1 2), 29.7 deg, intensity 28
- (0 1 4), 38.8 deg, intensity 27

Cell and atoms:
Cell: 5.0040 6.7935 9.9173 Å, 90.00 95.45 90.00°
Sites, in units of the cell vectors:
1 Sn 0.0000 0.0000 0.0000
2 Sb 0.0585 0.0000 0.4753
3 Sb 0.5686 0.5000 0.1344
4 Sb 0.6396 0.5000 0.6103
5 P 0.0147 0.5000 0.9133
6 P 0.0507 0.5000 0.3995
7 P 0.5789 0.0000 0.2088
8 P 0.6135 0.0000 0.6978
9 O 0.1650 0.3160 0.9755
10 O 0.1650 0.6840 0.9755
11 O 0.2692 0.0000 0.1958
12 O 0.3579 0.5000 0.4113
13 O 0.4631 0.1841 0.6379
14 O 0.4631 0.8159 0.6379
15 O 0.6421 0.0000 0.8544
16 O 0.6727 0.0000 0.3618
17 O 0.6996 0.1770 0.1330
18 O 0.6996 0.8230 0.1330
19 O 0.7163 0.5000 0.9525
20 O 0.9109 0.0000 0.6557
21 O 0.9286 0.3242 0.4778
22 O 0.9286 0.6758 0.4778
23 O 0.9525 0.5000 0.2477
24 O 0.9959 0.5000 0.7575